1.
# Cs2RbMnAs2
Calculated X-ray diffraction stick pattern, λ = 1.5418 Å (Cu Kα). Input: a DFT-relaxed cell (PBE, Alexandria).
Neutral-atom scattering factors, no anomalous dispersion.

The 8 most intense peaks (5 to 70 degrees two-theta), low angle first:
| 2theta | intensity |
| --- | --- |
| 23.91 | 26 |
| 25.69 | 14 |
| 28.14 | 100 |
| 30.06 | 14 |
| 32.28 | 13 |
| 33.43 | 39 |
| 46.84 | 21 |
| 53.58 | 13 |

Structural model:
```
Cs2RbMnAs2
1.0
-4.226 7.864 3.468
4.226 -7.864 3.468
4.226 7.864 -3.468
Cs Rb Mn As
4 2 2 4
direct
0.179 0.207 0.386
0.321 0.707 0.028
0.679 0.293 0.972
0.821 0.793 0.614
0.250 0.750 0.500
0.750 0.250 0.500
0.250 0.250 0.000
0.750 0.750 0.000
0.075 0.832 0.907
0.425 0.332 0.756
0.575 0.668 0.244
0.925 0.168 0.093
```

---

2.
# Cs6K9H
Calculated X-ray diffraction stick pattern, λ = 1.5418 Å (Cu Kα). Input: a DFT-relaxed cell (PBE, Alexandria).
Neutral-atom scattering factors, no anomalous dispersion.

The 8 most intense peaks (5 to 70 degrees two-theta), low angle first:
| 2theta | intensity |
| --- | --- |
| 9.17 | 22 |
| 22.28 | 100 |
| 25.43 | 17 |
| 25.96 | 34 |
| 36.66 | 25 |
| 42.99 | 15 |
| 43.66 | 29 |
| 45.47 | 13 |

Structural model:
```
Cs6K9H
1.0
-5.426 5.426 10.507
5.426 -5.426 10.507
5.426 5.426 -10.507
Cs K H
6 9 1
direct
0.104 0.712 0.816
0.156 0.156 0.000
0.288 0.104 0.393
0.712 0.896 0.607
0.844 0.844 0.000
0.896 0.288 0.184
0.032 0.247 0.627
0.247 0.620 0.214
0.380 0.594 0.627
0.406 0.032 0.786
0.500 0.500 0.000
0.594 0.968 0.214
0.620 0.406 0.373
0.753 0.380 0.786
0.968 0.753 0.373
0.000 0.000 0.000
```